Record 1
Structure and simulated X-ray powder pattern of ZrU2P3 (a GGA-PBE-relaxed structure; Cu Kα (weighted mean of Kα1 and Kα2)).

Top 6 peaks for 2θ from 10° to 90°, sorted by position:
| Position (°2θ) | d_spacing | I/Imax | h k l |
| --- | --- | --- | --- |
| 28.27 | 3.157 | 100 | 1 0 3 |
| 32.67 | 2.741 | 69 | 1 1 0 |
| 32.92 | 2.720 | 34 | 0 0 6 |
| 47.06 | 1.931 | 50 | 1 1 6 |
| 55.64 | 1.652 | 33 | 2 1 3 |
| 58.47 | 1.579 | 26 | 2 0 6 |

Structure:
```
data_ZrU2P3
_cell_length_a 3.876
_cell_length_b 3.876
_cell_length_c 16.322
_cell_angle_alpha 90.00
_cell_angle_beta 90.00
_cell_angle_gamma 90.00
_symmetry_space_group_name_H-M 'I 4/m m m'
_symmetry_Int_Tables_number 139
_symmetry_space_group_name_Hall '-I 4 2'
loop_
_atom_site_label
_atom_site_type_symbol
_atom_site_fract_x
_atom_site_fract_y
_atom_site_fract_z
Zr1 Zr 0.000 0.000 0.000
U1 U 0.000 0.000 0.334
P1 P 0.000 0.000 0.163
P2 P 0.000 0.000 0.500
```

=====

Record 2
Structure and simulated X-ray powder pattern of TiCuTe2 (a GGA-PBE-relaxed structure; Cu Kα (weighted mean of Kα1 and Kα2)).

Top 6 peaks for 2θ from 10° to 90°, sorted by position:
| Position (°2θ) | d_spacing | I/Imax | h k l |
| --- | --- | --- | --- |
| 11.53 | 7.671 | 100 | 1 0 0 |
| 28.00 | 3.186 | 97 | 0 1 2 |
| 28.14 | 3.171 | 77 | 2 1 -2 |
| 36.09 | 2.488 | 78 | 2 2 0 |
| 43.78 | 2.068 | 72 | 2 0 -4 |
| 48.69 | 1.870 | 65 | 0 3 2 |

Structure:
```
data_TiCuTe2
_cell_length_a 8.685
_cell_length_b 6.540
_cell_length_c 8.262
_cell_angle_alpha 90.00
_cell_angle_beta 117.96
_cell_angle_gamma 90.00
_symmetry_space_group_name_H-M 'P 1 21/c 1'
_symmetry_Int_Tables_number 14
_symmetry_space_group_name_Hall '-P 2ybc'
loop_
_atom_site_label
_atom_site_type_symbol
_atom_site_fract_x
_atom_site_fract_y
_atom_site_fract_z
Ti1 Ti 0.022 0.024 0.313
Cu1 Cu 0.116 0.640 0.559
Te1 Te 0.206 0.239 0.638
Te2 Te 0.294 0.747 0.396
```

=====

Record 3
Structure and simulated X-ray powder pattern of PmSm12Tm3 (a GGA-PBE-relaxed structure; Cu Kα (weighted mean of Kα1 and Kα2)).

Top 6 peaks for 2θ from 10° to 90°, sorted by position:
| Position (°2θ) | d_spacing | I/Imax | h k l |
| --- | --- | --- | --- |
| 30.40 | 2.940 | 100 | 1 1 4 |
| 35.24 | 2.546 | 51 | 2 0 0 |
| 50.70 | 1.801 | 36 | 2 2 0 |
| 60.23 | 1.536 | 29 | 3 1 4 |
| 60.34 | 1.534 | 14 | 1 1 12 |
| 82.57 | 1.168 | 18 | 3 3 4 |

Structure:
```
data_PmSm12Tm3
_cell_length_a 5.097
_cell_length_b 5.097
_cell_length_c 20.342
_cell_angle_alpha 90.00
_cell_angle_beta 90.00
_cell_angle_gamma 90.00
_symmetry_space_group_name_H-M 'P 4/m m m'
_symmetry_Int_Tables_number 123
_symmetry_space_group_name_Hall '-P 4 2'
loop_
_atom_site_label
_atom_site_type_symbol
_atom_site_fract_x
_atom_site_fract_y
_atom_site_fract_z
Pm1 Pm 0.000 0.000 0.000
Sm1 Sm 0.000 0.500 0.127
Sm2 Sm 0.000 0.500 0.376
Sm3 Sm 0.500 0.500 0.000
Sm4 Sm 0.500 0.500 0.252
Sm5 Sm 0.500 0.500 0.500
Tm1 Tm 0.000 0.000 0.252
Tm2 Tm 0.000 0.000 0.500
```

=====

Record 4
Structure and simulated X-ray powder pattern of CaGe2Br8 (a GGA-PBE-relaxed structure; Cu Kα (weighted mean of Kα1 and Kα2)).

Top 6 peaks for 2θ from 10° to 90°, sorted by position:
| Position (°2θ) | d_spacing | I/Imax | h k l |
| --- | --- | --- | --- |
| 10.64 | 8.317 | 35 | 1 1 0 |
| 16.11 | 5.501 | 48 | 1 1 -1 |
| 16.30 | 5.439 | 55 | 0 2 0 |
| 23.85 | 3.730 | 100 | 2 2 -1 |
| 32.55 | 2.751 | 39 | 2 2 -2 |
| 43.02 | 2.103 | 54 | 5 3 0 |

Structure:
```
data_CaGe2Br8
_cell_length_a 13.152
_cell_length_b 10.877
_cell_length_c 6.701
_cell_angle_alpha 90.00
_cell_angle_beta 101.11
_cell_angle_gamma 90.00
_symmetry_space_group_name_H-M 'C 1 2/m 1'
_symmetry_Int_Tables_number 12
_symmetry_space_group_name_Hall '-C 2y'
loop_
_atom_site_label
_atom_site_type_symbol
_atom_site_fract_x
_atom_site_fract_y
_atom_site_fract_z
Ca1 Ca 0.000 0.000 0.000
Ge1 Ge 0.217 0.000 0.692
Br1 Br 0.098 0.500 0.116
Br2 Br 0.107 0.174 0.777
Br3 Br 0.194 0.000 0.309
```

=====

Please write out number 2 again, unchanged.
Structure and simulated X-ray powder pattern of TiCuTe2 (a GGA-PBE-relaxed structure; Cu Kα (weighted mean of Kα1 and Kα2)).

Top 6 peaks for 2θ from 10° to 90°, sorted by position:
| Position (°2θ) | d_spacing | I/Imax | h k l |
| --- | --- | --- | --- |
| 11.53 | 7.671 | 100 | 1 0 0 |
| 28.00 | 3.186 | 97 | 0 1 2 |
| 28.14 | 3.171 | 77 | 2 1 -2 |
| 36.09 | 2.488 | 78 | 2 2 0 |
| 43.78 | 2.068 | 72 | 2 0 -4 |
| 48.69 | 1.870 | 65 | 0 3 2 |

Structure:
```
data_TiCuTe2
_cell_length_a 8.685
_cell_length_b 6.540
_cell_length_c 8.262
_cell_angle_alpha 90.00
_cell_angle_beta 117.96
_cell_angle_gamma 90.00
_symmetry_space_group_name_H-M 'P 1 21/c 1'
_symmetry_Int_Tables_number 14
_symmetry_space_group_name_Hall '-P 2ybc'
loop_
_atom_site_label
_atom_site_type_symbol
_atom_site_fract_x
_atom_site_fract_y
_atom_site_fract_z
Ti1 Ti 0.022 0.024 0.313
Cu1 Cu 0.116 0.640 0.559
Te1 Te 0.206 0.239 0.638
Te2 Te 0.294 0.747 0.396
```